Diffraction record for CuAsO3. The X-ray powder pattern is simulated, not measured: it uses a crystal structure in the Materials Project, relaxed with GGA-PBE and Cu Kα, 1.54184 Å.
Peak positions follow from Bragg's law for the DFT cell and can differ from measured ones.

abc: 5.0134 5.0134 15.0360
angles: 90.00 90.00 120.00
Space group R-3 (No. 148, hexagonal axes)
Inequivalent atoms, fractional coordinates:
Cu1 0.0000 0.0000 0.1307 [6 per cell]
As1 0.0000 0.0000 0.3378 [6 per cell]
O1 0.0063 0.3773 0.9284 [18 per cell]

Main lines, most intense first (10 to 90 degrees two-theta):
hkl  2θ/deg  intensity
1 0 4  31.5  100.0
1 1 0  35.8  89.3
1 1 6  51.6  47.2
0 1 2  23.7  34.1
0 2 4  48.4  32.8
3 0 0  64.4  30.3
2 1 4  61.7  29.1
2 -1 9  67.4  25.8
0 1 5  36.3  22.9
2 2 0  75.9  15.7

Diffraction record for Cu2AsO5. The X-ray powder pattern is simulated, not measured: it uses a crystal structure in the Materials Project, relaxed with GGA-PBE and Cu Kα, 1.54184 Å.
Peak positions follow from Bragg's law for the DFT cell and can differ from measured ones.

abc: 8.1245 8.8746 5.8941
angles: 90.00 90.00 90.00
Space group Pnnm (No. 58)
Inequivalent atoms, fractional coordinates:
Cu1 0.0000 0.0000 0.2476 [4 per cell]
Cu2 0.1508 0.3881 0.5000 [4 per cell]
As1 0.2375 0.7499 0.5000 [4 per cell]
O1 0.0899 0.6063 0.5000 [4 per cell]
O2 0.1270 0.9294 0.0000 [4 per cell]
O3 0.1350 0.9244 0.5000 [4 per cell]
O4 0.1485 0.2355 0.2429 [8 per cell]

Main lines, most intense first (10 to 90 degrees two-theta):
hkl  2θ/deg  intensity
2 2 0  29.8  100.0
1 3 1  35.7  73.4
0 1 1  18.1  69.7
1 1 0  14.8  59.8
1 1 2  33.9  57.7
2 0 2  37.7  53.9
4 2 2  59.0  51.2
1 1 1  21.1  49.0
1 0 1  18.6  48.6
3 0 1  36.6  34.6

Diffraction record for CuAs2O4. The X-ray powder pattern is simulated, not measured: it uses a crystal structure in the Materials Project, relaxed with GGA-PBE and Cu Kα, 1.54184 Å.
Peak positions follow from Bragg's law for the DFT cell and can differ from measured ones.

abc: 8.8892 8.8892 5.6409
angles: 90.00 90.00 90.00
Space group P4_2/mbc (No. 135)
Inequivalent atoms, fractional coordinates:
Cu1 0.0000 0.5000 0.2500 [4 per cell]
As1 0.1574 0.2076 0.0000 [8 per cell]
O1 0.0924 0.3784 0.5000 [8 per cell]
O2 0.2075 0.7075 0.2500 [8 per cell]

Main lines, most intense first (10 to 90 degrees two-theta):
hkl  2θ/deg  intensity
2 1 1  27.4  100.0
1 1 0  14.1  62.3
2 2 0  28.4  50.8
2 0 2  37.8  36.6
4 1 1  45.0  35.6
3 1 0  31.8  35.3
3 3 2  54.6  25.5
5 1 2  62.7  21.5
2 1 2  39.2  19.1
2 1 3  53.9  14.9

Diffraction record for Cu5As2O10. The X-ray powder pattern is simulated, not measured: it uses a crystal structure in the Materials Project, relaxed with GGA-PBE and Cu Kα, 1.54184 Å.
Peak positions follow from Bragg's law for the DFT cell and can differ from measured ones.

abc: 5.2179 6.3307 6.3829
angles: 100.40 95.45 94.65
Space group P-1 (No. 2)
Inequivalent atoms, fractional coordinates:
Cu1 0.0000 0.0000 0.0000 [1 per cell]
Cu2 0.1416 0.6610 0.2211 [2 per cell]
Cu3 0.2527 0.1232 0.5490 [2 per cell]
As1 0.4073 0.6613 0.7700 [2 per cell]
O1 0.0212 0.9426 0.2847 [2 per cell]
O2 0.1960 0.4336 0.6691 [2 per cell]
O3 0.2840 0.3899 0.1512 [2 per cell]
O4 0.2877 0.8117 0.9913 [2 per cell]
O5 0.4212 0.8148 0.5691 [2 per cell]

Main lines, most intense first (10 to 90 degrees two-theta):
hkl  2θ/deg  intensity
1 1 1  29.9  100.0
0 1 -2  29.5  71.4
1 -2 0  32.2  51.9
2 0 -1  36.1  49.0
1 -1 1  25.2  38.0
1 1 0  23.5  38.0
1 2 -1  35.1  37.8
-1 2 1  36.8  25.5
2 -1 1  39.6  22.8
0 1 2  34.6  20.5

Diffraction record for Cu2AsO5. The X-ray powder pattern is simulated, not measured: it uses a crystal structure in the Materials Project, relaxed with GGA-PBE and Cu Kα, 1.54184 Å.
Peak positions follow from Bragg's law for the DFT cell and can differ from measured ones.

abc: 5.8917 8.7503 10.0010
angles: 90.00 125.90 90.00
Space group P2_1/c (No. 14)
Inequivalent atoms, fractional coordinates:
Cu1 0.1748 0.1103 0.1498 [4 per cell]
Cu2 0.2510 0.5021 0.9986 [4 per cell]
As1 0.2287 0.7485 0.7392 [4 per cell]
O1 0.0385 0.6033 0.5926 [4 per cell]
O2 0.1321 0.5766 0.1339 [4 per cell]
O3 0.1372 0.7483 0.8716 [4 per cell]
O4 0.3755 0.0708 0.3730 [4 per cell]
O5 0.4178 0.2252 0.6667 [4 per cell]

Main lines, most intense first (10 to 90 degrees two-theta):
hkl  2θ/deg  intensity
0 2 2  30.1  100.0
1 3 0  36.1  74.4
1 1 -1  18.2  70.8
0 1 1  14.9  58.2
1 1 -2  21.2  51.7
2 1 -3  34.0  50.2
1 0 -2  18.6  46.3
2 0 0  37.7  32.2
0 3 1  32.6  31.4
0 2 1  23.1  30.6

Diffraction record for Cu2As2O7. The X-ray powder pattern is simulated, not measured: it uses a crystal structure in the Materials Project, relaxed with GGA-PBE and Cu Kα, 1.54184 Å.
Peak positions follow from Bragg's law for the DFT cell and can differ from measured ones.

abc: 7.5071 8.3540 5.0197
angles: 90.00 112.82 90.00
Space group C2/m (No. 12)
Inequivalent atoms, fractional coordinates:
Cu1 0.0000 0.1858 0.0000 [4 per cell]
As1 0.2014 0.5000 0.4054 [4 per cell]
O1 0.0000 0.5000 0.5000 [2 per cell]
O2 0.1006 0.0000 0.2663 [4 per cell]
O3 0.2032 0.3313 0.2167 [8 per cell]

Main lines, most intense first (10 to 90 degrees two-theta):
hkl  2θ/deg  intensity
2 0 -1  25.5  100.0
0 2 1  28.8  83.5
1 1 1  29.1  50.6
2 2 -2  43.5  27.5
1 3 2  57.2  24.7
2 2 0  33.6  23.9
1 3 0  34.7  17.0
3 1 0  40.6  15.6
1 3 -3  65.9  12.3
1 1 -2  37.5  11.6

Diffraction record for CuAsPbO5. The X-ray powder pattern is simulated, not measured: it uses a crystal structure in the Materials Project, relaxed with GGA-PBE and Cu Kα, 1.54184 Å.
Peak positions follow from Bragg's law for the DFT cell and can differ from measured ones.

abc: 6.0494 8.4731 8.9586
angles: 90.00 90.00 90.00
Space group P2_12_12_1 (No. 19)
Inequivalent atoms, fractional coordinates:
Cu1 0.2472 0.2423 0.4950 [4 per cell]
As1 0.0117 0.8682 0.2944 [4 per cell]
Pb1 0.0390 0.3753 0.8369 [4 per cell]
O1 0.0052 0.3526 0.5626 [4 per cell]
O2 0.0103 0.5366 0.1030 [4 per cell]
O3 0.0545 0.7117 0.4132 [4 per cell]
O4 0.2388 0.3491 0.3057 [4 per cell]
O5 0.2481 0.8717 0.1795 [4 per cell]

Main lines, most intense first (10 to 90 degrees two-theta):
hkl  2θ/deg  intensity
1 2 0  25.7  100.0
0 1 3  31.8  42.2
1 1 3  35.1  41.3
2 1 1  33.0  38.8
1 1 1  20.6  38.2
1 2 2  32.6  32.7
0 4 2  47.5  22.8
2 3 3  54.0  19.7
2 0 0  29.5  18.4
1 0 1  17.7  18.3

Diffraction record for Sm2CuAs3O. The X-ray powder pattern is simulated, not measured: it uses a crystal structure in the Materials Project, relaxed with GGA-PBE and Cu Kα, 1.54184 Å.
Peak positions follow from Bragg's law for the DFT cell and can differ from measured ones.

abc: 34.8225 3.9914 3.9996
angles: 90.00 90.00 90.00
Space group Pnma (No. 62)
Inequivalent atoms, fractional coordinates:
Sm1 0.0331 0.2500 0.2488 [4 per cell]
Sm2 0.1758 0.7500 0.6920 [4 per cell]
Cu1 0.2500 0.2500 0.6916 [4 per cell]
As1 0.1059 0.2500 0.7487 [4 per cell]
As2 0.1070 0.7500 0.1690 [4 per cell]
As3 0.2055 0.2500 0.1909 [4 per cell]
O1 0.9999 0.2500 0.7487 [4 per cell]

Main lines, most intense first (10 to 90 degrees two-theta):
hkl  2θ/deg  intensity
6 1 1  35.3  100.0
10 1 0  34.2  90.3
8 1 1  38.0  89.2
0 2 0  45.4  83.9
4 1 0  24.5  76.6
6 0 1  27.1  54.7
14 0 0  36.1  43.4
14 2 0  59.3  37.3
10 2 1  58.0  35.7
0 2 2  66.2  25.8

Diffraction record for Tl2CuAsO4. The X-ray powder pattern is simulated, not measured: it uses a crystal structure in the Materials Project, relaxed with GGA-PBE and Cu Kα, 1.54184 Å.
Peak positions follow from Bragg's law for the DFT cell and can differ from measured ones.

abc: 8.8276 5.4889 12.3815
angles: 90.00 99.40 90.00
Space group P2_1/c (No. 14)
Inequivalent atoms, fractional coordinates:
Tl1 0.0102 0.2485 0.3842 [4 per cell]
Tl2 0.3128 0.2222 0.1468 [4 per cell]
Cu1 0.4868 0.1956 0.9233 [4 per cell]
As1 0.2856 0.7496 0.3705 [4 per cell]
O1 0.0992 0.6699 0.8196 [4 per cell]
O2 0.2977 0.0687 0.8536 [4 per cell]
O3 0.3218 0.6840 0.0103 [4 per cell]
O4 0.4152 0.6046 0.8032 [4 per cell]

Main lines, most intense first (10 to 90 degrees two-theta):
hkl  2θ/deg  intensity
2 1 -2  28.3  100.0
2 1 2  31.6  48.4
1 1 2  25.1  42.2
0 0 4  29.2  41.5
0 2 0  32.6  40.2
3 0 0  30.8  25.4
0 2 4  44.4  23.8
1 1 -2  23.0  22.7
2 1 -6  49.1  17.8
0 1 4  33.6  16.1

Diffraction record for TlCuAsO4. The X-ray powder pattern is simulated, not measured: it uses a crystal structure in the Materials Project, relaxed with GGA-PBE and Cu Kα, 1.54184 Å.
Peak positions follow from Bragg's law for the DFT cell and can differ from measured ones.

abc: 7.0898 7.2738 18.5320
angles: 90.00 94.01 90.00
Space group C2/c (No. 15)
Inequivalent atoms, fractional coordinates:
Tl1 0.0036 0.2043 0.0614 [8 per cell]
Cu1 0.2488 0.0829 0.7494 [8 per cell]
As1 0.0232 0.3326 0.8526 [8 per cell]
O1 0.1074 0.1325 0.6597 [8 per cell]
O2 0.1075 0.4662 0.1610 [8 per cell]
O3 0.1317 0.3390 0.9370 [8 per cell]
O4 0.1954 0.3327 0.7863 [8 per cell]

Main lines, most intense first (10 to 90 degrees two-theta):
hkl  2θ/deg  intensity
1 1 -5  29.2  100.0
2 0 -2  26.3  95.8
1 1 5  30.6  94.4
2 2 0  35.4  88.1
1 1 -3  22.1  79.6
0 2 3  28.5  63.7
1 1 3  23.3  59.3
2 0 0  25.2  49.5
0 2 0  24.5  41.6
2 0 2  27.6  41.4